[1]
Calculated powder X-ray diffraction pattern of Pr4Ni2Rh for Cu Kα (weighted mean of Kα1 and Kα2), from DFT lattice parameters and positions (PBE).
Intensities are scaled so that the largest is 100.

Structure:
Lattice parameters (Å, degrees): 8.9975 9.0006 9.2079 90.00 90.00 90.00
Space group Imma (No. 74)
Asymmetric unit:
Pr 0.0000 0.0549 0.1989
Pr 0.1952 0.2500 0.5512
Ni 0.0000 0.0000 0.5000
Ni 0.2500 0.2500 0.2500
Rh 0.0000 0.2500 0.8746

Top 6 peaks for 2θ = 15–90°, in order of rising 2θ:
| 2theta | Rel. int. | (hkl) |
| --- | --- | --- |
| 27.7 | 52 | 2 0 2 |
| 28.0 | 74 | 2 2 0 |
| 30.8 | 100 | 1 0 3 |
| 31.4 | 56 | 0 3 1 |
| 37.3 | 59 | 2 3 1 |
| 40.1 | 44 | 4 0 0 |

=====

[2]
Calculated powder X-ray diffraction pattern of Sc8Sn2Rh for Cu Kα (weighted mean of Kα1 and Kα2), from DFT lattice parameters and positions (PBE).
Intensities are scaled so that the largest is 100.

Structure:
Lattice parameters (Å, degrees): 5.0406 6.6160 14.7194 90.00 90.00 90.00
Space group Immm (No. 71)
Asymmetric unit:
Sc 0.0000 0.0000 0.1845
Sc 0.0000 0.2349 0.3723
Sc 0.0000 0.2473 0.0000
Sn 0.0000 0.5000 0.1863
Rh 0.0000 0.5000 0.5000

Top 6 peaks for 2θ = 15–90°, in order of rising 2θ:
| 2theta | Rel. int. | (hkl) |
| --- | --- | --- |
| 22.2 | 26 | 1 1 0 |
| 22.6 | 30 | 0 1 3 |
| 35.3 | 23 | 1 0 5 |
| 35.6 | 35 | 2 0 0 |
| 37.3 | 100 | 1 2 3 |
| 65.1 | 18 | 3 2 3 |